Starting from a structure optimized by DFT (GGA+U), the PXRD pattern of Zn2Cr5P6O24 was simulated for Cu Kα (λ = 1.5418 Å).

```
Zn2Cr5P6O24
1.0
6.3836 0.0000 0.0000
-1.5993 7.8224 0.0000
-2.8706 -3.1786 8.4419
Zn Cr P O
2 5 6 24
direct
0.2062 0.1903 0.1987
0.7938 0.8097 0.8013
0.1210 0.5448 0.3924
0.4561 0.2857 0.9763
0.5000 0.0000 0.5000
0.5439 0.7143 0.0237
0.8790 0.4552 0.6076
0.1008 0.7668 0.1312
0.2763 0.8508 0.7370
0.4034 0.4028 0.6663
0.5966 0.5972 0.3337
0.7237 0.1492 0.2630
0.8992 0.2332 0.8688
0.0450 0.7303 0.7313
0.0569 0.6456 0.2261
0.1399 0.2527 0.9957
0.1851 0.4554 0.5804
0.2139 0.9681 0.2474
0.2444 0.7080 0.0354
0.2814 0.8009 0.5656
0.2947 0.0505 0.8011
0.3778 0.2067 0.5856
0.3817 0.4690 0.3407
0.4250 0.4502 0.8434
0.4829 0.8078 0.8443
0.5171 0.1922 0.1557
0.5750 0.5498 0.1566
0.6183 0.5310 0.6593
0.6222 0.7933 0.4144
0.7053 0.9495 0.1989
0.7186 0.1991 0.4344
0.7556 0.2920 0.9646
0.7861 0.0319 0.7526
0.8149 0.5446 0.4196
0.8601 0.7473 0.0043
0.9431 0.3544 0.7739
0.9550 0.2697 0.2687
```

Principal peaks in the range 2θ from 10° to 90°, in order of falling intensity:
d (Å)	I/Imax	hkl
2.995	1000	0 2 1
3.005	713	0 1 -3
2.924	364	1 -2 2
3.125	344	2 0 -1
4.381	307	1 -1 1
6.854	302	0 1 -1
2.687	285	2 1 -2
4.769	234	-1 1 1
3.028	214	2 -1 0
2.627	209	1 2 -3